Entry 1:
The following is a simulated powder diffractogram of KHF4. It was derived from a crystal structure in Alexandria, relaxed with GGA-PBE, using CuKα.

Most intense lines, 10° ≤ 2θ ≤ 90°, by intensity:
- 2θ 29.66, 3.012 Å, I = 100
- 2θ 38.54, 2.336 Å, I = 85
- 2θ 39.07, 2.306 Å, I = 73
- 2θ 43.49, 2.081 Å, I = 63
- 2θ 46.79, 1.941 Å, I = 58
- 2θ 27.56, 3.236 Å, I = 57
- 2θ 38.12, 2.361 Å, I = 53
- 2θ 27.19, 3.279 Å, I = 39
- 2θ 55.96, 1.643 Å, I = 27
- 2θ 45.44, 1.996 Å, I = 24

Structure:
Cell: 7.506 7.312 5.102 Å, 71.92 67.83 40.25°
Fractional coordinates of all 12 atoms:
K: 0.125 0.125 0.125
K: 0.875 0.875 0.875
H: 0.375 0.375 0.375
H: 0.625 0.625 0.625
F: 0.190 0.668 0.282
F: 0.282 0.361 0.190
F: 0.332 0.810 0.639
F: 0.361 0.282 0.668
F: 0.639 0.718 0.332
F: 0.668 0.190 0.361
F: 0.718 0.639 0.810
F: 0.810 0.332 0.718

Entry 2:
The following is a simulated powder diffractogram of K2MgHF3. It was derived from a crystal structure in Alexandria, relaxed with GGA-PBE, using CuKα.

Most intense lines, 10° ≤ 2θ ≤ 90°, by intensity:
- 2θ 31.62, 2.830 Å, I = 100
- 2θ 30.18, 2.961 Å, I = 49
- 2θ 41.76, 2.163 Å, I = 46
- 2θ 40.32, 2.237 Å, I = 32
- 2θ 44.70, 2.028 Å, I = 30
- 2θ 45.95, 1.975 Å, I = 28
- 2θ 52.13, 1.755 Å, I = 27
- 2θ 54.88, 1.673 Å, I = 16
- 2θ 80.31, 1.195 Å, I = 16
- 2θ 66.04, 1.415 Å, I = 15

Structure:
Cell: 7.282 7.282 7.282 Å, 148.53 147.67 45.74°
Fractional coordinates of all 7 atoms:
K: 0.149 0.149 0.000
K: 0.851 0.851 0.000
Mg: 0.500 0.500 0.000
H: 0.500 0.000 0.500
F: 0.000 0.500 0.500
F: 0.348 0.348 0.000
F: 0.652 0.652 0.000